1.
For Ba6LiNb2IrCl2O12, a structure optimized by DFT (GGA-PBE) gives the computed powder diffraction line list in this record (Cu Kα X-rays).
No peak broadening, texture or thermal motion is included.

Principal peaks in the range 2θ from 10° to 90°, sorted by position:
2θ (°), I_rel
17.9, 30
24.5, 29
29.2, 58
29.5, 100
41.9, 32
52.1, 30

Atomic structure:
```
24
Lattice="6.061 0.000 0.000 -3.031 5.249 0.000 0.000 0.000 15.082" Properties=species:S:1:pos:R:3 pbc="T T T"
Ba 0.000 3.500 1.021
Ba 0.000 3.500 5.381
Ba 0.000 3.500 11.981
Ba 3.031 1.750 3.101
Ba 3.031 1.750 9.701
Ba 3.031 1.750 14.061
Li 0.000 0.000 7.541
Nb 0.000 0.000 2.765
Nb 0.000 0.000 12.317
Ir 0.000 0.000 0.000
Cl 0.000 3.500 8.624
Cl 3.031 1.750 6.458
O 0.000 1.624 13.819
O -1.624 4.437 13.819
O 0.000 1.685 3.669
O -1.572 4.407 3.669
O 1.406 0.812 1.263
O 1.459 0.842 11.413
O 1.572 4.407 3.669
O 1.624 4.437 13.819
O 4.603 0.842 11.413
O 3.031 3.565 11.413
O 4.655 0.812 1.263
O 3.031 3.625 1.263
```

***

2.
For RbHCO2, a structure optimized by DFT (GGA-PBE) gives the computed powder diffraction line list in this record (Cu Kα X-rays).
No peak broadening, texture or thermal motion is included.

Principal peaks in the range 2θ from 10° to 90°, sorted by position:
2θ (°), I_rel
18.8, 34
18.9, 38
26.8, 31
30.5, 100
36.1, 57
43.0, 15

Atomic structure:
```
20
Lattice="4.726 0.000 0.000 0.000 9.387 0.000 0.000 0.000 7.509" Properties=species:S:1:pos:R:3 pbc="T T T"
Rb 0.290 2.347 0.000
Rb 0.290 2.347 3.754
Rb 4.436 7.040 0.000
Rb 4.436 7.040 3.754
H 2.070 4.956 1.877
H 2.070 9.125 5.631
H 2.656 0.263 1.877
H 2.656 4.431 5.631
C 1.812 5.164 5.631
C 1.812 8.917 1.877
C 2.914 0.470 5.631
C 2.914 4.223 1.877
O 0.632 0.006 1.877
O 0.632 4.688 5.631
O 2.120 6.398 5.631
O 2.120 7.683 1.877
O 2.606 1.704 5.631
O 2.606 2.989 1.877
O 4.094 4.699 1.877
O 4.094 9.381 5.631
```